For ThSi2MoOs, a PBE-relaxed structure gives the calculated powder diffractogram in this record (CuKα).
Intensities are scaled so that the largest is 1000.

Structural model:
```
5
Lattice="-2.1180 2.1180 5.0378 2.1180 -2.1180 5.0378 2.1180 2.1180 -5.0378" Properties=species:S:1:pos:R:3 pbc="T T T"
Th 0.0000 0.0000 0.0000
Si 0.0000 0.0000 3.7748
Si 0.0000 0.0000 6.3008
Mo 2.1180 0.0000 2.5189
Os 0.0000 2.1180 2.5189
```

Principal peaks in the range 2θ from 5° to 70°, low angle first:
2θ (°)  intensity
22.77  448
34.07  319
34.85  1000
35.64  185
42.69  353
48.92  129
55.71  161
56.79  198
61.96  118
63.51  179

For ScHO2, a PBE-relaxed structure gives the calculated powder diffractogram in this record (CuKα).
Intensities are scaled so that the largest is 1000.

Structural model:
```
8
Lattice="1.6385 -6.5285 0.0000 1.6385 6.5285 0.0000 0.0000 0.0000 4.0516" Properties=species:S:1:pos:R:3 pbc="T T T"
Sc 1.6385 4.2309 2.0258
Sc 1.6385 -4.2309 0.0000
H 1.6385 0.2182 0.7445
H 1.6385 -0.2182 2.7703
O 1.6385 3.7122 0.0037
O 1.6385 0.9101 0.0170
O 1.6385 -0.9101 2.0428
O 1.6385 -3.7122 2.0295
```

Principal peaks in the range 2θ from 5° to 70°, low angle first:
2θ (°)  intensity
13.56  1000
25.88  827
34.25  768
44.36  292
44.74  271
50.01  338
56.14  127
57.53  261
61.62  129
64.83  159

For Pr2ScRuO6, a PBE-relaxed structure gives the calculated powder diffractogram in this record (CuKα).
Intensities are scaled so that the largest is 1000.

Structural model:
```
20
Lattice="5.6815 0.0000 0.0000 0.0000 8.0814 0.0000 0.0000 0.0000 5.7802" Properties=species:S:1:pos:R:3 pbc="T T T"
Pr 1.4204 0.2361 1.2233
Pr 1.4204 3.8046 1.2233
Pr 4.2611 4.2769 4.5569
Pr 4.2611 7.8453 4.5569
Sc 1.4204 2.0204 4.1783
Sc 4.2611 6.0611 1.6019
Ru 1.4204 6.0611 4.4434
Ru 4.2611 2.0204 1.3368
O 0.0513 2.0204 5.7474
O 0.0862 2.0204 2.6642
O 1.4204 4.0465 4.5246
O 1.4204 8.0756 4.5246
O 2.7546 2.0204 2.6642
O 2.7894 2.0204 5.7474
O 2.8921 6.0611 0.0328
O 2.9269 6.0611 3.1160
O 4.2611 0.0058 1.2556
O 4.2611 4.0349 1.2556
O 5.5953 6.0611 3.1160
O 5.6301 6.0611 0.0328
```

Principal peaks in the range 2θ from 5° to 70°, low angle first:
2θ (°)  intensity
18.88  171
30.94  245
31.26  1000
31.49  285
36.94  143
44.73  309
44.86  135
55.24  140
55.90  272
65.22  136

For TlCrIn2N, a PBE-relaxed structure gives the calculated powder diffractogram in this record (CuKα).
Intensities are scaled so that the largest is 1000.

Structural model:
```
5
Lattice="5.5132 0.0000 0.0000 0.0000 5.5132 0.0000 0.0000 0.0000 3.6914" Properties=species:S:1:pos:R:3 pbc="T T T"
Tl 0.0000 0.0000 0.0000
Cr 2.7566 2.7566 0.0000
In 0.0000 2.7566 1.8457
In 2.7566 0.0000 1.8457
N 2.7566 2.7566 1.8457
```

Principal peaks in the range 2θ from 5° to 70°, low angle first:
2θ (°)  intensity
16.08  205
29.11  160
32.48  605
33.43  1000
44.17  106
46.59  217
49.38  91
58.55  394
60.35  196
68.02  68

For La2ZrN, a PBE-relaxed structure gives the calculated powder diffractogram in this record (CuKα).
Intensities are scaled so that the largest is 1000.

Structural model:
```
4
Lattice="1.7371 1.0029 9.5463 -1.7371 1.0029 9.5463 0.0000 -2.0058 9.5463" Properties=species:S:1:pos:R:3 pbc="T T T"
La 0.0000 0.0000 3.2844
La 0.0000 0.0000 25.3546
Zr 0.0000 0.0000 0.0000
N 0.0000 0.0000 14.3195
```

Principal peaks in the range 2θ from 5° to 70°, low angle first:
2θ (°)  intensity
9.26  324
28.04  583
29.86  1000
30.36  243
32.27  247
33.65  245
39.11  701
43.63  318
52.69  355
60.75  395

For RbTe2S4, a PBE-relaxed structure gives the calculated powder diffractogram in this record (CuKα).
Intensities are scaled so that the largest is 1000.

Structural model:
```
14
Lattice="7.1758 0.0000 0.0000 -1.1941 7.5538 0.0000 -0.1223 -3.8274 9.7122" Properties=species:S:1:pos:R:3 pbc="T T T"
Rb 0.4974 1.5218 2.4303
Rb 5.3620 2.2046 7.2819
Te 1.7457 -1.7668 5.5352
Te 2.2828 5.5894 0.4249
Te 3.5765 -1.8630 9.2873
Te 4.1136 5.4931 4.1770
S -0.5853 3.9707 4.5819
S 1.7364 -3.2810 9.1286
S 2.8271 -0.6513 3.7803
S 2.3266 0.6900 8.0776
S 3.5328 3.0364 1.6346
S 3.0322 4.3777 5.9319
S 4.1230 7.0074 0.5836
S 6.4447 -0.2443 5.1303
```

Principal peaks in the range 2θ from 5° to 70°, low angle first:
2θ (°)  intensity
12.56  1000
14.95  377
16.04  393
18.05  556
20.36  346
22.46  434
23.57  512
26.86  685
32.70  386
34.63  419

For Cs6Br3Cl2, a PBE-relaxed structure gives the calculated powder diffractogram in this record (CuKα).
Intensities are scaled so that the largest is 1000.

Structural model:
```
11
Lattice="4.4770 -7.7583 0.0000 4.4770 7.7583 0.0000 -2.9801 0.0000 8.4059" Properties=species:S:1:pos:R:3 pbc="T T T"
Cs -0.0398 2.6579 6.3607
Cs 1.4162 0.0000 2.0386
Cs -0.0398 -2.6579 6.3607
Cs 6.0138 2.6579 2.0452
Cs 4.5578 0.0000 6.3673
Cs 6.0138 -2.6579 2.0452
Br -1.4900 0.0000 4.2030
Br 2.9870 2.5469 4.2030
Br 2.9870 -2.5469 4.2030
Cl 4.4770 5.1621 0.0000
Cl 4.4770 -5.1621 0.0000
```

Principal peaks in the range 2θ from 5° to 70°, low angle first:
2θ (°)  intensity
21.05  240
24.38  1000
34.70  390
34.80  386
40.97  126
42.86  211
49.96  133
56.28  184
56.42  182
62.24  202

For Ir5Os2, a PBE-relaxed structure gives the calculated powder diffractogram in this record (CuKα).
Intensities are scaled so that the largest is 1000.

Structural model:
```
14
Lattice="8.9120 0.0000 0.0000 0.0000 8.9120 0.0000 0.0000 0.0000 2.6961" Properties=species:S:1:pos:R:3 pbc="T T T"
Ir 0.0000 4.4560 0.0000
Ir 0.4735 1.8049 0.0000
Ir 1.8049 8.4385 0.0000
Ir 2.6511 3.9825 0.0000
Ir 3.9825 6.2609 0.0000
Ir 4.4560 0.0000 0.0000
Ir 4.9296 2.6511 0.0000
Ir 6.2609 4.9296 0.0000
Ir 7.1071 0.4735 0.0000
Ir 8.4385 7.1071 0.0000
Os 1.6465 6.1025 1.3481
Os 2.8095 1.6465 1.3481
Os 6.1025 7.2655 1.3481
Os 7.2655 2.8095 1.3481
```

Principal peaks in the range 2θ from 5° to 70°, low angle first:
2θ (°)  intensity
31.75  230
33.23  234
39.05  338
40.41  678
41.79  1000
43.06  495
44.21  296
46.62  676
50.06  318
69.76  149

For Dy2PuTe4, a PBE-relaxed structure gives the calculated powder diffractogram in this record (CuKα).
Intensities are scaled so that the largest is 1000.

Structural model:
```
14
Lattice="-4.6912 4.6912 4.6331 4.6912 -4.6912 4.6331 4.6912 4.6912 -4.6331" Properties=species:S:1:pos:R:3 pbc="T T T"
Dy 2.3456 1.2068 -1.1583
Dy 3.4845 -2.3456 5.7914
Dy 2.3456 3.4845 3.4748
Dy 1.2068 7.0368 1.1583
Pu 4.6912 0.0000 2.3166
Pu 0.0000 0.0000 4.6331
Te 5.3913 1.6384 -0.5042
Te 3.0529 3.9912 -2.8208
Te 1.6384 0.7001 1.8123
Te 1.6384 3.9912 0.5042
Te 3.0529 0.7001 5.1373
Te 5.3913 3.0529 2.8208
Te -0.7001 3.0529 4.1289
Te -0.7001 1.6384 7.4539
```

Principal peaks in the range 2θ from 5° to 70°, low angle first:
2θ (°)  intensity
23.27  196
30.14  1000
30.47  539
35.90  792
36.11  255
43.57  124
45.58  145
47.58  116
60.91  225
62.66  123

For Pm6SmSc6, a PBE-relaxed structure gives the calculated powder diffractogram in this record (CuKα).
Intensities are scaled so that the largest is 1000.

Structural model:
```
13
Lattice="3.3763 -5.4227 0.0000 3.3763 5.4227 0.0000 0.0000 0.0000 10.8440" Properties=species:S:1:pos:R:3 pbc="T T T"
Pm 0.0000 0.0000 1.8432
Pm 0.0000 0.0000 9.0009
Pm 3.3763 2.2891 0.0000
Pm 3.3763 1.5957 5.4220
Pm 3.3763 -1.5957 5.4220
Pm 3.3763 -2.2891 0.0000
Sm 0.0000 0.0000 5.4220
Sc 1.6882 2.7113 2.9368
Sc 1.6882 2.7113 7.9072
Sc 1.6882 -2.7113 2.9368
Sc 1.6882 -2.7113 7.9072
Sc 3.3763 0.0000 2.3322
Sc 3.3763 0.0000 8.5118
```

Principal peaks in the range 2θ from 5° to 70°, low angle first:
2θ (°)  intensity
26.40  756
28.00  1000
29.70  707
31.21  661
32.59  590
33.04  516
35.42  575
40.15  416
57.87  403
58.73  321

For Er4ScN5, a PBE-relaxed structure gives the calculated powder diffractogram in this record (CuKα).
Intensities are scaled so that the largest is 1000.

Structural model:
```
10
Lattice="-3.7822 3.7822 2.3987 3.7822 -3.7822 2.3987 3.7822 3.7822 -2.3987" Properties=species:S:1:pos:R:3 pbc="T T T"
Er 2.2559 0.7621 0.0000
Er 3.0201 -1.5263 2.3987
Er 0.7621 5.3085 0.0000
Er 1.5263 3.0201 2.3987
Sc 0.0000 0.0000 2.4130
N 4.5200 1.5635 -0.0084
N 1.5635 3.0445 -0.0084
N 2.2188 0.7378 2.3902
N -0.7378 2.2188 2.3902
N 0.0000 0.0000 4.7666
```

Principal peaks in the range 2θ from 5° to 70°, low angle first:
2θ (°)  intensity
16.57  72
21.94  91
23.52  43
32.38  1000
37.49  239
37.60  489
54.17  496
64.45  147
64.59  286
67.79  164

For Pr3Y2Ag3, a PBE-relaxed structure gives the calculated powder diffractogram in this record (CuKα).
Intensities are scaled so that the largest is 1000.

Structural model:
```
8
Lattice="-1.8673 2.7345 11.1243 1.8673 -2.7345 11.1243 1.8673 2.7345 -11.1243" Properties=species:S:1:pos:R:3 pbc="T T T"
Pr 0.0000 0.0000 0.0000
Pr 1.8673 0.0000 8.4168
Pr 0.0000 2.7345 2.7076
Y 0.0000 0.0000 5.1615
Y 0.0000 0.0000 17.0872
Ag 1.8673 0.0000 2.7113
Ag 0.0000 0.0000 11.1243
Ag 0.0000 2.7345 8.4130
```

Principal peaks in the range 2θ from 5° to 70°, low angle first:
2θ (°)  intensity
32.19  240
32.75  271
33.22  1000
46.58  169
48.77  87
58.04  142
58.75  188
59.64  79
59.99  92
69.73  98